Entry 1:
This entry pairs a crystal structure of Re3Cl2 with its computed X-ray diffraction stick pattern. Radiation: copper Kα. Structure: a DFT-relaxed cell (GGA-PBE, Alexandria).

Main lines, in order of rising 2θ (10 to 90 degrees two-theta):
16.4 deg, 5.394 Å, I = 551, (0 0 6)
36.1 deg, 2.490 Å, I = 192, (1 0 1)
38.6 deg, 2.330 Å, I = 1000, (0 1 5)
41.9 deg, 2.158 Å, I = 249, (0 0 15)
45.9 deg, 1.977 Å, I = 598, (1 0 10)
64.6 deg, 1.442 Å, I = 221, (1 1 0)
69.2 deg, 1.358 Å, I = 160, (0 1 20)
80.0 deg, 1.199 Å, I = 228, (1 1 15)

```
data_Re3Cl2
_cell_length_a 2.8839
_cell_length_b 2.8839
_cell_length_c 32.3660
_cell_angle_alpha 90.00
_cell_angle_beta 90.00
_cell_angle_gamma 120.00
_symmetry_space_group_name_H-M 'R -3 m'
_symmetry_Int_Tables_number 166
_symmetry_space_group_name_Hall '-R 3 2"'
loop_
_atom_site_label
_atom_site_fract_x
_atom_site_fract_y
_atom_site_fract_z
_atom_site_occupancy
Re1 0.0000 0.0000 0.0000 1
Re2 0.0000 0.0000 0.1977 1
Cl1 0.0000 0.0000 0.3933 1
```

=====

Entry 2:
This entry pairs a crystal structure of Ac3Zn8Cu3 with its computed X-ray diffraction stick pattern. Radiation: copper Kα. Structure: a DFT-relaxed cell (GGA-PBE, Alexandria).

Main lines, in order of rising 2θ (10 to 90 degrees two-theta):
22.1 deg, 4.029 Å, I = 359, (1 1 -1)
27.4 deg, 3.250 Å, I = 287, (3 1 0)
32.4 deg, 2.760 Å, I = 360, (6 0 -2)
33.7 deg, 2.660 Å, I = 367, (3 1 1)
33.9 deg, 2.647 Å, I = 1000, (1 1 2)
34.1 deg, 2.626 Å, I = 247, (5 1 -2)
35.9 deg, 2.504 Å, I = 520, (3 1 -3)
40.1 deg, 2.251 Å, I = 497, (0 2 0)

```
data_Ac3Zn8Cu3
_cell_length_a 16.634
_cell_length_b 4.501
_cell_length_c 9.040
_cell_angle_alpha 90.00
_cell_angle_beta 122.12
_cell_angle_gamma 90.00
_symmetry_space_group_name_H-M 'C 1 2/m 1'
_symmetry_Int_Tables_number 12
_symmetry_space_group_name_Hall '-C 2y'
loop_
_atom_site_label
_atom_site_fract_x
_atom_site_fract_y
_atom_site_fract_z
_atom_site_occupancy
Ac1 0.000 0.000 0.000 1
Ac2 0.216 0.500 0.698 1
Zn1 0.004 0.500 0.670 1
Zn2 0.118 0.000 0.407 1
Zn3 0.130 0.000 0.830 1
Zn4 0.157 0.500 0.006 1
Cu1 0.000 0.000 0.500 1
Cu2 0.137 0.500 0.277 1
```

=====

Entry 3:
This entry pairs a crystal structure of Tb2SmPb with its computed X-ray diffraction stick pattern. Radiation: copper Kα. Structure: a DFT-relaxed cell (GGA-PBE, Alexandria).

Main lines, in order of rising 2θ (10 to 90 degrees two-theta):
28.9 deg, 3.092 Å, I = 599, (1 1 2)
29.9 deg, 2.991 Å, I = 379, (1 3 0)
31.3 deg, 2.856 Å, I = 1000, (1 3 1)
34.1 deg, 2.633 Å, I = 442, (0 4 2)
35.8 deg, 2.510 Å, I = 400, (1 1 3)
42.4 deg, 2.132 Å, I = 239, (2 0 0)
55.5 deg, 1.657 Å, I = 323, (2 4 2)
56.9 deg, 1.617 Å, I = 237, (1 3 5)

```
data_Tb2SmPb
_cell_length_a 4.264
_cell_length_b 12.587
_cell_length_c 9.614
_cell_angle_alpha 90.00
_cell_angle_beta 90.00
_cell_angle_gamma 90.00
_symmetry_space_group_name_H-M 'C m c m'
_symmetry_Int_Tables_number 63
_symmetry_space_group_name_Hall '-C 2c 2'
loop_
_atom_site_label
_atom_site_fract_x
_atom_site_fract_y
_atom_site_fract_z
_atom_site_occupancy
Tb1 0.000 0.135 0.049 1
Sm1 0.000 0.444 0.250 1
Pb1 0.000 0.255 0.750 1
```

=====

Entry 4:
This entry pairs a crystal structure of Ba2H3 with its computed X-ray diffraction stick pattern. Radiation: copper Kα. Structure: a DFT-relaxed cell (GGA-PBE, Alexandria).

Main lines, in order of rising 2θ (10 to 90 degrees two-theta):
25.5 deg, 3.495 Å, I = 961, (1 0 4)
25.8 deg, 3.455 Å, I = 1000, (1 1 0)
36.6 deg, 2.457 Å, I = 379, (0 2 4)
44.7 deg, 2.026 Å, I = 167, (0 1 8)
45.3 deg, 2.002 Å, I = 409, (2 1 4)
45.5 deg, 1.994 Å, I = 220, (3 0 0)
59.3 deg, 1.559 Å, I = 143, (1 2 8)
59.7 deg, 1.549 Å, I = 177, (1 3 4)

```
data_Ba2H3
_cell_length_a 6.9091
_cell_length_b 6.9091
_cell_length_c 17.2266
_cell_angle_alpha 90.00
_cell_angle_beta 90.00
_cell_angle_gamma 120.00
_symmetry_space_group_name_H-M 'R -3 c'
_symmetry_Int_Tables_number 167
_symmetry_space_group_name_Hall '-R 3 2"c'
loop_
_atom_site_label
_atom_site_fract_x
_atom_site_fract_y
_atom_site_fract_z
_atom_site_occupancy
Ba1 0.0000 0.0000 0.1359 1
H1 0.0000 0.2694 0.2500 1
```

=====

Entry 5:
This entry pairs a crystal structure of AcVBr with its computed X-ray diffraction stick pattern. Radiation: copper Kα. Structure: a DFT-relaxed cell (GGA-PBE, Alexandria).

Main lines, in order of rising 2θ (10 to 90 degrees two-theta):
18.9 deg, 4.698 Å, I = 791, (1 1 1)
26.0 deg, 3.422 Å, I = 1000, (1 1 7)
27.4 deg, 3.254 Å, I = 768, (2 0 2)
29.9 deg, 2.987 Å, I = 491, (1 1 9)
30.6 deg, 2.926 Å, I = 973, (0 2 6)
38.8 deg, 2.321 Å, I = 319, (1 1 13)
39.4 deg, 2.287 Å, I = 334, (2 2 4)
43.5 deg, 2.079 Å, I = 493, (2 2 8)

```
data_AcVBr
_cell_length_a 6.626
_cell_length_b 6.790
_cell_length_c 34.607
_cell_angle_alpha 90.00
_cell_angle_beta 90.00
_cell_angle_gamma 90.00
_symmetry_space_group_name_H-M 'F d d d'
_symmetry_Int_Tables_number 70
loop_
_symmetry_equiv_pos_as_xyz
'x,y,z'
'-x,-y,-z'
'-x+1/4,-y+1/4,z'
'x+1/4,y+1/4,-z'
'x,-y+1/4,-z+1/4'
'-x,y+1/4,z+1/4'
'-x+1/4,y,-z+1/4'
'x+1/4,-y,z+1/4'
'x,y+1/2,z+1/2'
'-x,-y+1/2,-z+1/2'
'-x+1/4,-y+3/4,z+1/2'
'x+1/4,y+3/4,-z+1/2'
'x,-y+3/4,-z+3/4'
'-x,y+3/4,z+3/4'
'-x+1/4,y+1/2,-z+3/4'
'x+1/4,-y+1/2,z+3/4'
'x+1/2,y,z+1/2'
'-x+1/2,-y,-z+1/2'
'-x+3/4,-y+1/4,z+1/2'
'x+3/4,y+1/4,-z+1/2'
'x+1/2,-y+1/4,-z+3/4'
'-x+1/2,y+1/4,z+3/4'
'-x+3/4,y,-z+3/4'
'x+3/4,-y,z+3/4'
'x+1/2,y+1/2,z'
'-x+1/2,-y+1/2,-z'
'-x+3/4,-y+3/4,z'
'x+3/4,y+3/4,-z'
'x+1/2,-y+3/4,-z+1/4'
'-x+1/2,y+3/4,z+1/4'
'-x+3/4,y+1/2,-z+1/4'
'x+3/4,-y+1/2,z+1/4'
loop_
_atom_site_label
_atom_site_fract_x
_atom_site_fract_y
_atom_site_fract_z
_atom_site_occupancy
Ac1 0.125 0.125 0.054 1
V1 0.125 0.125 0.511 1
Br1 0.125 0.358 0.625 1
```

=====

Entry 6:
This entry pairs a crystal structure of Ce4P2Cl5 with its computed X-ray diffraction stick pattern. Radiation: copper Kα. Structure: a DFT-relaxed cell (GGA-PBE, Alexandria).

Main lines, in order of rising 2θ (10 to 90 degrees two-theta):
13.2 deg, 6.700 Å, I = 1000, (0 1 1)
21.3 deg, 4.179 Å, I = 728, (0 0 6)
25.9 deg, 3.446 Å, I = 822, (1 0 3)
26.6 deg, 3.350 Å, I = 534, (0 2 2)
27.8 deg, 3.212 Å, I = 767, (1 1 2)
35.2 deg, 2.546 Å, I = 964, (1 2 1)
40.2 deg, 2.243 Å, I = 610, (1 0 9)
43.5 deg, 2.082 Å, I = 588, (1 2 7)

```
data_Ce4P2Cl5
_cell_length_a 3.782
_cell_length_b 6.953
_cell_length_c 25.072
_cell_angle_alpha 90.00
_cell_angle_beta 90.00
_cell_angle_gamma 90.00
_symmetry_space_group_name_H-M 'I m m m'
_symmetry_Int_Tables_number 71
_symmetry_space_group_name_Hall '-I 2 2'
loop_
_atom_site_label
_atom_site_fract_x
_atom_site_fract_y
_atom_site_fract_z
_atom_site_occupancy
Ce1 0.000 0.000 0.157 1
Ce2 0.000 0.314 0.500 1
P1 0.000 0.000 0.262 1
Cl1 0.000 0.247 0.388 1
Cl2 0.000 0.500 0.000 1
```

=====

Entry 7:
This entry pairs a crystal structure of Ac2HgGePb with its computed X-ray diffraction stick pattern. Radiation: copper Kα. Structure: a DFT-relaxed cell (GGA-PBE, Alexandria).

Main lines, in order of rising 2θ (10 to 90 degrees two-theta):
23.2 deg, 3.839 Å, I = 240, (2 0 0)
26.3 deg, 3.388 Å, I = 206, (2 0 -2)
27.1 deg, 3.287 Å, I = 341, (0 1 2)
27.5 deg, 3.241 Å, I = 1000, (1 1 -2)
32.5 deg, 2.755 Å, I = 277, (2 1 -2)
33.4 deg, 2.684 Å, I = 463, (2 1 1)
38.0 deg, 2.366 Å, I = 408, (0 2 0)
38.2 deg, 2.358 Å, I = 246, (1 0 -4)

```
data_Ac2HgGePb
_cell_length_a 7.933
_cell_length_b 4.731
_cell_length_c 9.441
_cell_angle_alpha 90.00
_cell_angle_beta 104.55
_cell_angle_gamma 90.00
_symmetry_space_group_name_H-M 'P 1 21/m 1'
_symmetry_Int_Tables_number 11
_symmetry_space_group_name_Hall '-P 2yb'
loop_
_atom_site_label
_atom_site_fract_x
_atom_site_fract_y
_atom_site_fract_z
_atom_site_occupancy
Ac1 0.186 0.250 0.403 1
Ac2 0.243 0.250 0.972 1
Hg1 0.478 0.750 0.285 1
Ge1 0.143 0.750 0.171 1
Pb1 0.289 0.750 0.699 1
```

=====

Entry 8:
This entry pairs a crystal structure of La2NpAgS5 with its computed X-ray diffraction stick pattern. Radiation: copper Kα. Structure: a DFT-relaxed cell (GGA-PBE, Alexandria).

Main lines, in order of rising 2θ (10 to 90 degrees two-theta):
24.2 deg, 3.675 Å, I = 567, (0 2 3)
25.8 deg, 3.457 Å, I = 259, (0 4 2)
27.2 deg, 3.275 Å, I = 564, (1 3 0)
31.6 deg, 2.835 Å, I = 1000, (1 1 3)
32.9 deg, 2.720 Å, I = 468, (0 6 1)
37.8 deg, 2.378 Å, I = 411, (1 5 2)
40.3 deg, 2.239 Å, I = 275, (1 3 4)
44.8 deg, 2.023 Å, I = 272, (2 0 0)

```
data_La2NpAgS5
_cell_length_a 4.046
_cell_length_b 16.738
_cell_length_c 12.271
_cell_angle_alpha 90.00
_cell_angle_beta 90.00
_cell_angle_gamma 90.00
_symmetry_space_group_name_H-M 'C m c 21'
_symmetry_Int_Tables_number 36
_symmetry_space_group_name_Hall 'C 2c -2'
loop_
_atom_site_label
_atom_site_fract_x
_atom_site_fract_y
_atom_site_fract_z
_atom_site_occupancy
La1 0.000 0.114 0.000 1
La2 0.000 0.126 0.619 1
Np1 0.000 0.194 0.319 1
Ag1 0.000 0.476 0.783 1
S1 0.000 0.046 0.394 1
S2 0.000 0.292 0.973 1
S3 0.000 0.305 0.662 1
S4 0.000 0.357 0.315 1
S5 0.000 0.499 0.087 1
```

=====

Entry 9:
This entry pairs a crystal structure of AcTb3Tl2 with its computed X-ray diffraction stick pattern. Radiation: copper Kα. Structure: a DFT-relaxed cell (GGA-PBE, Alexandria).

Main lines, in order of rising 2θ (10 to 90 degrees two-theta):
29.2 deg, 3.061 Å, I = 279, (2 0 2)
29.8 deg, 3.001 Å, I = 571, (1 1 2)
31.1 deg, 2.878 Å, I = 1000, (5 1 -1)
32.6 deg, 2.747 Å, I = 536, (0 2 0)
33.0 deg, 2.716 Å, I = 449, (3 1 -3)
44.3 deg, 2.044 Å, I = 188, (2 2 2)
57.2 deg, 1.610 Å, I = 181, (5 3 -1)
58.2 deg, 1.584 Å, I = 137, (3 1 4)

```
data_AcTb3Tl2
_cell_length_a 17.034
_cell_length_b 5.494
_cell_length_c 9.411
_cell_angle_alpha 90.00
_cell_angle_beta 118.36
_cell_angle_gamma 90.00
_symmetry_space_group_name_H-M 'C 1 2/m 1'
_symmetry_Int_Tables_number 12
_symmetry_space_group_name_Hall '-C 2y'
loop_
_atom_site_label
_atom_site_fract_x
_atom_site_fract_y
_atom_site_fract_z
_atom_site_occupancy
Ac1 0.131 0.000 0.178 1
Tb1 0.063 0.000 0.713 1
Tb2 0.114 0.500 0.532 1
Tb3 0.195 0.500 0.985 1
Tl1 0.007 0.500 0.166 1
Tl2 0.222 0.000 0.604 1
```

=====

Entry 10:
This entry pairs a crystal structure of Na5TbBr8 with its computed X-ray diffraction stick pattern. Radiation: copper Kα. Structure: a DFT-relaxed cell (GGA-PBE, Alexandria).

Main lines, in order of rising 2θ (10 to 90 degrees two-theta):
13.1 deg, 6.769 Å, I = 531, (1 1 0)
13.7 deg, 6.467 Å, I = 871, (1 0 1)
27.6 deg, 3.234 Å, I = 950, (2 0 2)
29.5 deg, 3.027 Å, I = 575, (1 3 0)
29.8 deg, 2.999 Å, I = 1000, (3 0 1)
32.0 deg, 2.796 Å, I = 692, (1 0 3)
36.1 deg, 2.491 Å, I = 652, (3 1 2)
48.7 deg, 1.871 Å, I = 476, (4 3 1)

```
data_Na5TbBr8
_cell_length_a 9.573
_cell_length_b 9.573
_cell_length_c 8.772
_cell_angle_alpha 90.00
_cell_angle_beta 90.00
_cell_angle_gamma 90.00
_symmetry_space_group_name_H-M 'I -4'
_symmetry_Int_Tables_number 82
_symmetry_space_group_name_Hall 'I -4'
loop_
_atom_site_label
_atom_site_fract_x
_atom_site_fract_y
_atom_site_fract_z
_atom_site_occupancy
Na1 0.000 0.000 0.000 1
Na2 0.181 0.739 0.646 1
Tb1 0.000 0.500 0.250 1
Br1 0.045 0.693 0.949 1
Br2 0.049 0.781 0.342 1
```

=====

Entry 11:
This entry pairs a crystal structure of Pm3Pr4Hg4 with its computed X-ray diffraction stick pattern. Radiation: copper Kα. Structure: a DFT-relaxed cell (GGA-PBE, Alexandria).

Main lines, in order of rising 2θ (10 to 90 degrees two-theta):
30.8 deg, 2.902 Å, I = 862, (1 2 1)
31.6 deg, 2.835 Å, I = 1000, (1 1 4)
31.8 deg, 2.816 Å, I = 704, (0 3 3)
33.2 deg, 2.702 Å, I = 401, (1 0 5)
33.6 deg, 2.664 Å, I = 701, (0 2 6)
38.6 deg, 2.334 Å, I = 432, (1 3 2)
58.1 deg, 1.587 Å, I = 373, (1 5 4)
61.3 deg, 1.512 Å, I = 372, (1 2 11)

```
data_Pm3Pr4Hg4
_cell_length_a 3.761
_cell_length_b 9.383
_cell_length_c 19.424
_cell_angle_alpha 90.00
_cell_angle_beta 90.00
_cell_angle_gamma 90.00
_symmetry_space_group_name_H-M 'I m m m'
_symmetry_Int_Tables_number 71
_symmetry_space_group_name_Hall '-I 2 2'
loop_
_atom_site_label
_atom_site_fract_x
_atom_site_fract_y
_atom_site_fract_z
_atom_site_occupancy
Pm1 0.000 0.000 0.000 1
Pm2 0.000 0.500 0.099 1
Pr1 0.000 0.318 0.340 1
Hg1 0.000 0.000 0.268 1
Hg2 0.000 0.209 0.500 1
```

=====

Entry 12:
This entry pairs a crystal structure of Si23I3 with its computed X-ray diffraction stick pattern. Radiation: copper Kα. Structure: a DFT-relaxed cell (GGA-PBE, Alexandria).

Main lines, in order of rising 2θ (10 to 90 degrees two-theta):
12.2 deg, 7.265 Å, I = 387, (1 1 0)
19.3 deg, 4.595 Å, I = 559, (2 1 0)
30.1 deg, 2.966 Å, I = 954, (2 2 2)
31.4 deg, 2.850 Å, I = 990, (3 2 0)
32.6 deg, 2.746 Å, I = 1000, (3 2 1)
34.9 deg, 2.569 Å, I = 320, (4 0 0)
51.9 deg, 1.762 Å, I = 588, (5 3 0)
55.1 deg, 1.667 Å, I = 422, (5 3 2)

```
data_Si23I3
_cell_length_a 10.275
_cell_length_b 10.275
_cell_length_c 10.275
_cell_angle_alpha 90.00
_cell_angle_beta 90.00
_cell_angle_gamma 90.00
_symmetry_space_group_name_H-M 'P m -3 n'
_symmetry_Int_Tables_number 223
_symmetry_space_group_name_Hall '-P 4n 2 3'
loop_
_atom_site_label
_atom_site_fract_x
_atom_site_fract_y
_atom_site_fract_z
_atom_site_occupancy
Si1 0.000 0.117 0.308 1
Si2 0.000 0.250 0.500 1
Si3 0.184 0.184 0.184 1
I1 0.000 0.500 0.250 1
```